CoCu4Ge2S7: simulated X-ray diffraction stick pattern (Cu Kα, 1.54184 Å), based on DFT lattice parameters and positions (PBE).

Peak list (12 most intense, 2θ from 10° to 90°, by intensity)
d 3.052, I = 100; d 1.871, I = 40; d 1.591, I = 26; d 1.862, I = 10; d 1.867, I = 10; d 1.214, I = 10; d 2.637, I = 8; d 1.599, I = 7; d 1.599, I = 6; d 1.318, I = 6; d 2.655, I = 4; d 1.327, I = 3

Crystal structure
```
14
Lattice="5.8900 -2.6547 0.0000 5.8900 2.6547 0.0000 -1.1669 0.0000 8.2625" Properties=species:S:1:pos:R:3 pbc="T T T"
Co 0.0000 0.0000 0.0000
Cu 1.1712 -0.0694 3.5798
Cu 2.3959 -0.0248 7.0963
Cu 8.2173 -0.0248 1.1662
Cu 9.4420 -0.0694 4.6827
Ge 4.6925 0.0532 2.3056
Ge 5.9207 0.0532 5.9569
S 2.9165 1.2816 2.9285
S 4.1292 1.3581 6.5208
S 6.4840 1.3581 1.7417
S 7.6967 1.2816 5.3340
S 4.1363 -1.3699 0.5980
S 5.3066 -1.3136 4.1312
S 6.4769 -1.3699 7.6645
```

Hf4CoCuP2: simulated X-ray diffraction stick pattern (Cu Kα, 1.54184 Å), based on DFT lattice parameters and positions (PBE).

Peak list (12 most intense, 2θ from 10° to 90°, by intensity)
d 2.508, I = 100; d 2.891, I = 49; d 2.443, I = 26; d 2.453, I = 25; d 2.425, I = 25; d 1.874, I = 20; d 3.496, I = 18; d 1.800, I = 18; d 2.011, I = 18; d 1.298, I = 18; d 2.027, I = 14; d 2.022, I = 13

Crystal structure
```
8
Lattice="5.1919 0.0000 0.0000 0.0000 3.6007 0.0000 -2.5150 0.0000 7.0022" Properties=species:S:1:pos:R:3 pbc="T T T"
Hf 0.0000 0.0000 0.0000
Hf -1.3011 1.8003 4.4043
Hf 1.3102 0.0000 3.3610
Hf 2.5334 1.8003 0.9967
Co 0.0074 1.8003 1.8816
Cu 0.0174 0.0000 5.9511
P 1.3832 1.8003 5.3886
P 3.8537 0.0000 2.4640
```

Hf4CoCuSb2: simulated X-ray diffraction stick pattern (Cu Kα, 1.54184 Å), based on DFT lattice parameters and positions (PBE).

Peak list (12 most intense, 2θ from 10° to 90°, by intensity)
d 2.645, I = 100; d 2.678, I = 98; d 2.579, I = 52; d 2.135, I = 42; d 2.176, I = 42; d 1.902, I = 40; d 1.997, I = 38; d 2.124, I = 37; d 2.561, I = 34; d 3.062, I = 31; d 2.654, I = 30; d 1.377, I = 22

Crystal structure
```
8
Lattice="5.6021 0.0000 0.0000 0.0000 3.8038 0.0000 -2.4857 0.0000 7.3612" Properties=species:S:1:pos:R:3 pbc="T T T"
Hf 0.0000 0.0000 0.0000
Hf -1.2358 1.9019 4.6581
Hf 1.2198 0.0000 3.3307
Hf 2.4168 1.9019 0.8803
Co 0.0876 1.9019 1.8693
Cu -0.0456 0.0000 6.2204
Sb 1.6209 1.9019 5.6048
Sb 3.9899 0.0000 2.4888
```

Co2CuHg: simulated X-ray diffraction stick pattern (Cu Kα, 1.54184 Å), based on DFT lattice parameters and positions (PBE).

Peak list (10 most intense, 2θ from 10° to 90°, by intensity)
d 2.131, I = 100; d 1.230, I = 32; d 3.480, I = 30; d 1.817, I = 16; d 1.507, I = 16; d 3.014, I = 14; d 1.383, I = 7; d 1.348, I = 6; d 1.160, I = 6; d 1.740, I = 4

Crystal structure
```
16
Lattice="6.0271 0.0000 0.0000 0.0000 6.0271 0.0000 0.0000 0.0000 6.0271" Properties=species:S:1:pos:R:3 pbc="T T T"
Co 0.0000 0.0000 0.0000
Co 0.0000 3.0136 3.0136
Co 1.5068 1.5068 1.5068
Co 1.5068 4.5203 4.5203
Co 3.0136 0.0000 3.0136
Co 3.0136 3.0136 0.0000
Co 4.5203 1.5068 4.5203
Co 4.5203 4.5203 1.5068
Cu 1.5068 1.5068 4.5203
Cu 1.5068 4.5203 1.5068
Cu 4.5203 1.5068 1.5068
Cu 4.5203 4.5203 4.5203
Hg 0.0000 0.0000 3.0136
Hg 0.0000 3.0136 0.0000
Hg 3.0136 0.0000 0.0000
Hg 3.0136 3.0136 3.0136
```

Ho4Co3Cu: simulated X-ray diffraction stick pattern (Cu Kα, 1.54184 Å), based on DFT lattice parameters and positions (PBE).

Peak list (12 most intense, 2θ from 10° to 90°, by intensity)
d 2.594, I = 100; d 2.651, I = 98; d 2.928, I = 92; d 2.164, I = 82; d 2.393, I = 80; d 2.201, I = 53; d 1.962, I = 44; d 1.565, I = 43; d 3.206, I = 38; d 1.464, I = 35; d 3.020, I = 33; d 1.646, I = 25

Crystal structure
```
8
Lattice="5.5615 0.0000 0.0000 0.0000 3.9239 0.0000 -0.0194 0.0000 7.1905" Properties=species:S:1:pos:R:3 pbc="T T T"
Ho 0.0000 0.0000 0.0000
Ho 1.3002 0.0000 3.5833
Ho 2.7408 1.9620 0.9425
Ho 4.1208 1.9620 4.6989
Co 1.4025 1.9620 5.6419
Co 2.6540 0.0000 6.0959
Co 5.5063 1.9620 2.0618
Cu 4.1330 0.0000 2.5630
```

Ho2CoCu: simulated X-ray diffraction stick pattern (Cu Kα, 1.54184 Å), based on DFT lattice parameters and positions (PBE).

Peak list (12 most intense, 2θ from 10° to 90°, by intensity)
d 2.140, I = 100; d 2.710, I = 98; d 2.421, I = 92; d 3.022, I = 90; d 2.514, I = 89; d 2.167, I = 78; d 1.629, I = 68; d 3.349, I = 40; d 1.513, I = 28; d 2.937, I = 28; d 1.666, I = 24; d 1.611, I = 21

Crystal structure
```
8
Lattice="4.2762 0.0000 0.0000 0.0000 5.3872 0.0000 0.0000 0.0000 7.0054" Properties=species:S:1:pos:R:3 pbc="T T T"
Ho 0.0000 0.5839 0.0000
Ho 0.0000 4.8034 3.5027
Ho 2.1381 2.0255 4.4690
Ho 2.1381 3.3617 0.9663
Co 2.1381 0.6552 1.9820
Co 2.1381 4.7320 5.4847
Cu 0.0000 2.0238 2.4603
Cu 0.0000 3.3634 5.9630
```

In2CoCu5: simulated X-ray diffraction stick pattern (Cu Kα, 1.54184 Å), based on DFT lattice parameters and positions (PBE).

Peak list (12 most intense, 2θ from 10° to 90°, by intensity)
d 2.140, I = 100; d 2.124, I = 49; d 1.229, I = 30; d 1.239, I = 15; d 1.502, I = 15; d 3.486, I = 10; d 1.525, I = 8; d 1.814, I = 3; d 3.003, I = 2; d 1.834, I = 2; d 1.388, I = 1; d 3.050, I = 1

Crystal structure
```
8
Lattice="4.2472 0.0000 0.0000 0.0000 4.2472 0.0000 0.0000 0.0000 6.1003" Properties=species:S:1:pos:R:3 pbc="T T T"
In 0.0000 0.0000 0.0000
In 2.1236 2.1236 3.0502
Co 0.0000 0.0000 3.0502
Cu 0.0000 2.1236 1.5375
Cu 0.0000 2.1236 4.5628
Cu 2.1236 0.0000 1.5375
Cu 2.1236 0.0000 4.5628
Cu 2.1236 2.1236 0.0000
```

In2CoCu5: simulated X-ray diffraction stick pattern (Cu Kα, 1.54184 Å), based on DFT lattice parameters and positions (PBE).

Peak list (12 most intense, 2θ from 10° to 90°, by intensity)
d 2.140, I = 100; d 2.127, I = 49; d 1.231, I = 30; d 1.238, I = 15; d 1.504, I = 15; d 3.488, I = 10; d 1.522, I = 8; d 1.816, I = 3; d 3.008, I = 2; d 1.832, I = 2; d 1.388, I = 1; d 3.045, I = 1

Crystal structure
```
8
Lattice="4.2544 0.0000 0.0000 0.0000 4.2544 0.0000 0.0000 0.0000 6.0892" Properties=species:S:1:pos:R:3 pbc="T T T"
In 0.0000 0.0000 0.0000
In 2.1272 2.1272 3.0446
Co 0.0000 0.0000 3.0446
Cu 0.0000 2.1272 1.5328
Cu 0.0000 2.1272 4.5564
Cu 2.1272 0.0000 1.5328
Cu 2.1272 0.0000 4.5564
Cu 2.1272 2.1272 0.0000
```

InCoCuNi: simulated X-ray diffraction stick pattern (Cu Kα, 1.54184 Å), based on DFT lattice parameters and positions (PBE).

Peak list (10 most intense, 2θ from 10° to 90°, by intensity)
d 2.101, I = 100; d 1.213, I = 30; d 1.485, I = 15; d 3.430, I = 6; d 2.971, I = 5; d 1.791, I = 3; d 1.329, I = 2; d 1.715, I = 1; d 1.363, I = 1; d 1.143, I = 1

Crystal structure
```
16
Lattice="5.9413 0.0000 0.0000 0.0000 5.9413 0.0000 0.0000 0.0000 5.9413" Properties=species:S:1:pos:R:3 pbc="T T T"
In 0.0000 0.0000 0.0000
In 0.0000 2.9707 2.9707
In 2.9707 0.0000 2.9707
In 2.9707 2.9707 0.0000
Co 1.4853 1.4853 4.4560
Co 1.4853 4.4560 1.4853
Co 4.4560 1.4853 1.4853
Co 4.4560 4.4560 4.4560
Cu 0.0000 0.0000 2.9707
Cu 0.0000 2.9707 0.0000
Cu 2.9707 0.0000 0.0000
Cu 2.9707 2.9707 2.9707
Ni 1.4853 1.4853 1.4853
Ni 1.4853 4.4560 4.4560
Ni 4.4560 1.4853 4.4560
Ni 4.4560 4.4560 1.4853
```

In2CoCu4Ni: simulated X-ray diffraction stick pattern (Cu Kα, 1.54184 Å), based on DFT lattice parameters and positions (PBE).

Peak list (10 most intense, 2θ from 10° to 90°, by intensity)
d 2.125, I = 100; d 1.227, I = 30; d 1.502, I = 15; d 3.470, I = 7; d 1.812, I = 3; d 3.005, I = 2; d 1.379, I = 1; d 1.157, I = 1; d 1.344, I = 1; d 1.735, I = 1

Crystal structure
```
8
Lattice="4.2485 0.0000 0.0000 0.0000 4.2485 0.0000 0.0000 0.0000 6.0124" Properties=species:S:1:pos:R:3 pbc="T T T"
In 0.0000 0.0000 0.0000
In 2.1243 2.1243 3.0062
Co 0.0000 0.0000 3.0062
Cu 0.0000 2.1243 1.5029
Cu 0.0000 2.1243 4.5095
Cu 2.1243 0.0000 1.5029
Cu 2.1243 0.0000 4.5095
Ni 2.1243 2.1243 0.0000
```

InCoCuSe2S: simulated X-ray diffraction stick pattern (Cu Kα, 1.54184 Å), based on DFT lattice parameters and positions (PBE).

Peak list (12 most intense, 2θ from 10° to 90°, by intensity)
d 2.687, I = 100; d 2.396, I = 46; d 2.286, I = 30; d 1.942, I = 29; d 2.303, I = 25; d 1.823, I = 20; d 1.533, I = 19; d 1.508, I = 14; d 3.764, I = 13; d 1.425, I = 13; d 2.813, I = 12; d 1.472, I = 12

Crystal structure
```
12
Lattice="1.8232 -6.6306 0.0000 1.8232 6.6306 0.0000 0.0000 0.0000 9.1428" Properties=species:S:1:pos:R:3 pbc="T T T"
In 1.8232 3.3413 6.8571
In 1.8232 -3.3413 2.2857
Co 1.8232 0.0000 0.0000
Co 1.8232 0.0000 4.5714
Cu 1.8232 6.3157 2.2857
Cu 1.8232 -6.3157 6.8571
Se 1.8232 4.9592 0.3478
Se 1.8232 4.9592 4.2236
Se 1.8232 -4.9592 4.9192
Se 1.8232 -4.9592 8.7950
S 1.8232 0.9538 2.2857
S 1.8232 -0.9538 6.8571
```

LaCoCu12: simulated X-ray diffraction stick pattern (Cu Kα, 1.54184 Å), based on DFT lattice parameters and positions (PBE).

Peak list (12 most intense, 2θ from 10° to 90°, by intensity)
d 1.944, I = 100; d 2.348, I = 76; d 2.572, I = 43; d 1.917, I = 18; d 1.819, I = 17; d 1.537, I = 14; d 1.395, I = 13; d 1.595, I = 13; d 1.174, I = 12; d 1.263, I = 12; d 1.128, I = 12; d 1.660, I = 9

Crystal structure
```
28
Lattice="0.0000 5.7514 5.7514 5.7514 0.0000 5.7514 5.7514 5.7514 0.0000" Properties=species:S:1:pos:R:3 pbc="T T T"
La 2.8757 2.8757 2.8757
La 8.6272 8.6272 8.6272
Co 0.0000 0.0000 0.0000
Co 5.7514 5.7514 5.7514
Cu 5.7514 4.4041 2.0615
Cu 9.4414 5.7514 4.4041
Cu 7.0988 2.0615 5.7514
Cu 7.0988 5.7514 3.6899
Cu 5.7514 3.6899 4.4041
Cu 7.8130 4.4041 5.7514
Cu 5.7514 7.0988 2.0615
Cu 4.4041 2.0615 5.7514
Cu 9.4414 5.7514 7.0988
Cu 4.4041 5.7514 3.6899
Cu 7.8130 7.0988 5.7514
Cu 5.7514 3.6899 7.0988
Cu 5.7514 7.8130 4.4041
Cu 3.6899 4.4041 5.7514
Cu 7.0988 5.7514 7.8130
Cu 2.0615 5.7514 4.4041
Cu 7.0988 9.4414 5.7514
Cu 5.7514 4.4041 9.4414
Cu 3.6899 7.0988 5.7514
Cu 5.7514 7.8130 7.0988
Cu 4.4041 5.7514 7.8130
Cu 4.4041 9.4414 5.7514
Cu 2.0615 5.7514 7.0988
Cu 5.7514 7.0988 9.4414
```

Lu4CoCuN2: simulated X-ray diffraction stick pattern (Cu Kα, 1.54184 Å), based on DFT lattice parameters and positions (PBE).

Peak list (12 most intense, 2θ from 10° to 90°, by intensity)
d 2.444, I = 100; d 2.897, I = 25; d 1.672, I = 24; d 2.834, I = 18; d 1.380, I = 16; d 1.347, I = 14; d 3.412, I = 13; d 2.275, I = 12; d 1.618, I = 12; d 1.789, I = 11; d 2.208, I = 10; d 1.502, I = 8

Crystal structure
```
8
Lattice="3.3450 0.0000 0.0000 -1.6725 2.8968 0.0000 0.0000 0.0000 13.6483" Properties=species:S:1:pos:R:3 pbc="T T T"
Lu 0.0000 0.0000 1.9512
Lu 0.0000 0.0000 11.6971
Lu 1.6725 0.9656 4.6879
Lu 1.6725 0.9656 8.9605
Co 1.6725 0.9656 0.0000
Cu 0.0000 0.0000 6.8242
N 0.0000 1.9312 3.3833
N 0.0000 1.9312 10.2650
```

Co3CuN5: simulated X-ray diffraction stick pattern (Cu Kα, 1.54184 Å), based on DFT lattice parameters and positions (PBE).

Peak list (12 most intense, 2θ from 10° to 90°, by intensity)
d 2.202, I = 100; d 2.842, I = 78; d 2.099, I = 60; d 1.421, I = 58; d 1.895, I = 41; d 3.722, I = 27; d 1.519, I = 23; d 1.271, I = 23; d 1.861, I = 19; d 2.542, I = 15; d 1.365, I = 13; d 1.101, I = 9

Crystal structure
```
9
Lattice="5.0844 0.0000 0.0000 -2.5422 4.4033 0.0000 0.0000 0.0000 3.7217" Properties=species:S:1:pos:R:3 pbc="T T T"
Co -1.2711 2.2016 0.0000
Co 2.5422 0.0000 0.0000
Co 1.2711 2.2016 0.0000
Cu 0.0000 0.0000 1.8608
N 0.0000 0.0000 0.0000
N 0.0000 2.9355 1.2236
N 0.0000 2.9355 2.4980
N 2.5422 1.4677 1.2236
N 2.5422 1.4677 2.4980
```